(1)
This entry pairs a crystal structure of LaY2Al with its simulated XRD peak list. Radiation: Cu Ka. Structure: a PBE-relaxed structure.
Intensities are scaled so that the largest is 100.

Cell and atoms:
Unit cell a=4.652 b=4.652 c=22.376 alpha=90.00 beta=90.00 gamma=90.00
Space group I-42d (No. 122)
Asymmetric unit:
1 La 0.000 0.000 0.000 x4
2 Y 0.229 0.250 0.625 x8
3 Al 0.000 0.000 0.500 x4

Principal peaks in the range 2θ = 10–80°, in order of falling intensity:
h k l	Position (°2θ)	d/Å	I_rel
1 1 2	28.28	3.156	100.0
2 0 4	42.07	2.148	66.1
1 1 6	36.42	2.467	50.4
0 0 8	32.00	2.797	36.2
1 0 3	22.53	3.947	23.3
1 1 10	49.25	1.850	21.0
2 0 12	64.00	1.455	20.2
3 1 2	63.81	1.459	18.3
1 0 1	19.49	4.555	17.2
2 2 8	65.88	1.418	16.7
3 1 6	68.57	1.368	14.7
1 0 5	27.66	3.225	14.1

---

(2)
This entry pairs a crystal structure of LaYAl6 with its simulated XRD peak list. Radiation: Cu Ka. Structure: a PBE-relaxed structure.
Intensities are scaled so that the largest is 100.

Cell and atoms:
Unit cell a=4.496 b=6.201 c=6.036 alpha=90.00 beta=90.00 gamma=90.00
Space group Pmm2 (No. 25)
Asymmetric unit:
1 La 0.000 0.000 0.000 x1
2 Y 0.500 0.500 0.228 x1
3 Al 0.000 0.244 0.479 x2
4 Al 0.000 0.500 0.863 x1
5 Al 0.500 0.000 0.389 x1
6 Al 0.500 0.275 0.748 x2

Principal peaks in the range 2θ = 10–80°, in order of falling intensity:
h k l	Position (°2θ)	d/Å	I_rel
1 2 1	38.29	2.351	100.0
1 1 1	28.64	3.117	80.6
1 0 2	35.83	2.506	78.2
1 1 0	24.45	3.640	67.9
0 2 1	32.46	2.758	56.0
0 1 2	33.01	2.714	55.6
2 0 0	40.11	2.248	41.0
1 4 2	71.62	1.318	34.1
1 0 1	24.69	3.606	32.1
0 0 1	14.67	6.036	30.0
2 1 2	52.89	1.731	28.6
2 2 1	52.52	1.743	28.0